No. 1
# GaHO2
Simulated X-ray diffraction stick pattern, Cu Kα X-rays. Input: the GGA-PBE geometry in the Materials Project.
Neutral-atom scattering factors, no anomalous dispersion.

Cell and atoms:
```
data_GaHO2
_cell_length_a 5.2482
_cell_length_b 5.2482
_cell_length_c 6.0096
_cell_angle_alpha 113.55
_cell_angle_beta 113.55
_cell_angle_gamma 94.88
_symmetry_space_group_name_H-M 'P 1'
_symmetry_Int_Tables_number 1
_symmetry_space_group_name_Hall 'P 1'
loop_
_atom_site_label
_atom_site_type_symbol
_atom_site_fract_x
_atom_site_fract_y
_atom_site_fract_z
Ga1 Ga 0.0000 0.0000 0.0000
Ga2 Ga 0.1293 0.8454 0.4863
Ga3 Ga 0.4000 0.6045 0.9936
Ga4 Ga 0.7489 0.2475 0.4855
H1 H 0.2477 0.3932 0.4034
H2 H 0.5796 0.2237 0.0654
H3 H 0.5856 0.7286 0.5692
H4 H 0.7434 0.4026 0.9031
O1 O 0.0622 0.6665 0.7303
O2 O 0.0794 0.1733 0.7542
O3 O 0.0999 0.4134 0.2638
O4 O 0.3174 0.9312 0.2522
O5 O 0.5777 0.4023 0.2263
O6 O 0.5777 0.9011 0.7284
O7 O 0.5897 0.4276 0.7621
O8 O 0.8102 0.9076 0.2150
```

The 10 most intense peaks (5 to 70 degrees two-theta), low angle first:
2θ 19.28, intensity 31; 2θ 29.55, intensity 75; 2θ 31.23, intensity 100; 2θ 34.30, intensity 26; 2θ 38.30, intensity 19; 2θ 40.96, intensity 20; 2θ 46.87, intensity 45; 2θ 51.42, intensity 60; 2θ 60.49, intensity 20; 2θ 62.20, intensity 29


No. 2
# Cs2Te13
Simulated X-ray diffraction stick pattern, Cu Kα X-rays. Input: the GGA-PBE geometry in the Materials Project.
Neutral-atom scattering factors, no anomalous dispersion.

Cell and atoms:
```
data_Cs2Te13
_cell_length_a 7.3953
_cell_length_b 14.1111
_cell_length_c 23.4512
_cell_angle_alpha 90.00
_cell_angle_beta 90.00
_cell_angle_gamma 90.00
_symmetry_space_group_name_H-M 'P b c m'
_symmetry_Int_Tables_number 57
_symmetry_space_group_name_Hall '-P 2c 2b'
loop_
_atom_site_label
_atom_site_type_symbol
_atom_site_fract_x
_atom_site_fract_y
_atom_site_fract_z
Cs1 Cs 0.1145 0.2500 0.0000
Cs2 Cs 0.3570 0.5258 0.2500
Te1 Te 0.0652 0.0343 0.6022
Te2 Te 0.1105 0.6225 0.7500
Te3 Te 0.1891 0.7388 0.6548
Te4 Te 0.2585 0.1672 0.1646
Te5 Te 0.2960 0.5960 0.0479
Te6 Te 0.3071 0.0281 0.0711
Te7 Te 0.4546 0.1751 0.6275
```

The 10 most intense peaks (5 to 70 degrees two-theta), low angle first:
2θ 22.73, intensity 25; 2θ 23.10, intensity 37; 2θ 25.18, intensity 26; 2θ 26.06, intensity 100; 2θ 27.13, intensity 37; 2θ 27.46, intensity 50; 2θ 28.29, intensity 21; 2θ 29.53, intensity 53; 2θ 38.69, intensity 19; 2θ 40.22, intensity 21


- Number 2 is which compound?
  Cs2Te13


Copy entry 2 word for word.
# Cs2Te13
Simulated X-ray diffraction stick pattern, Cu Kα X-rays. Input: the GGA-PBE geometry in the Materials Project.
Neutral-atom scattering factors, no anomalous dispersion.

Cell and atoms:
```
data_Cs2Te13
_cell_length_a 7.3953
_cell_length_b 14.1111
_cell_length_c 23.4512
_cell_angle_alpha 90.00
_cell_angle_beta 90.00
_cell_angle_gamma 90.00
_symmetry_space_group_name_H-M 'P b c m'
_symmetry_Int_Tables_number 57
_symmetry_space_group_name_Hall '-P 2c 2b'
loop_
_atom_site_label
_atom_site_type_symbol
_atom_site_fract_x
_atom_site_fract_y
_atom_site_fract_z
Cs1 Cs 0.1145 0.2500 0.0000
Cs2 Cs 0.3570 0.5258 0.2500
Te1 Te 0.0652 0.0343 0.6022
Te2 Te 0.1105 0.6225 0.7500
Te3 Te 0.1891 0.7388 0.6548
Te4 Te 0.2585 0.1672 0.1646
Te5 Te 0.2960 0.5960 0.0479
Te6 Te 0.3071 0.0281 0.0711
Te7 Te 0.4546 0.1751 0.6275
```

The 10 most intense peaks (5 to 70 degrees two-theta), low angle first:
2θ 22.73, intensity 25; 2θ 23.10, intensity 37; 2θ 25.18, intensity 26; 2θ 26.06, intensity 100; 2θ 27.13, intensity 37; 2θ 27.46, intensity 50; 2θ 28.29, intensity 21; 2θ 29.53, intensity 53; 2θ 38.69, intensity 19; 2θ 40.22, intensity 21